Record 1
Structure and simulated PXRD pattern of Pm3Nd6Ho2In (a structure optimized by DFT (GGA-PBE); CuKα).

Top 10 peaks for 15 to 90 degrees two-theta, in order of rising 2θ:
d/Å, intensity
2.950, 100.0
2.921, 32.2
2.554, 44.8
2.538, 21.9
1.806, 16.0
1.794, 15.3
1.545, 9.6
1.540, 18.8
1.532, 18.3
1.475, 12.2

Lattice parameters (Å, degrees): 6.274 6.274 11.879 95.16 95.16 120.25
Element x y z (fractional)
Pm: 0.000 0.000 0.000
Pm: 0.331 0.669 0.000
Pm: 0.669 0.331 0.000
Nd: 0.094 0.420 0.257
Nd: 0.254 0.254 0.746
Nd: 0.420 0.094 0.257
Nd: 0.580 0.906 0.743
Nd: 0.746 0.746 0.254
Nd: 0.906 0.580 0.743
Ho: 0.166 0.834 0.500
Ho: 0.834 0.166 0.500
In: 0.500 0.500 0.500

=====

Record 2
Structure and simulated PXRD pattern of PmNdHoIn (a structure optimized by DFT (GGA-PBE); CuKα).

Top 10 peaks for 15 to 90 degrees two-theta, in order of rising 2θ:
d/Å, intensity
2.841, 100.0
2.526, 18.1
2.429, 32.4
1.751, 24.0
1.718, 11.3
1.512, 14.8
1.470, 26.8
1.420, 11.9
1.135, 11.8
1.121, 5.7

Lattice parameters (Å, degrees): 6.109 6.109 6.109 133.14 133.14 68.43
Element x y z (fractional)
Pm: 0.000 0.000 0.000
Nd: 0.250 0.750 0.500
Ho: 0.500 0.500 0.000
In: 0.750 0.250 0.500

=====

Record 3
Structure and simulated PXRD pattern of Ho2InNi2 (a structure optimized by DFT (GGA-PBE); CuKα).

Top 10 peaks for 15 to 90 degrees two-theta, in order of rising 2θ:
d/Å, intensity
3.295, 22.1
2.605, 15.4
2.593, 57.5
2.446, 100.0
2.330, 43.2
1.825, 16.2
1.787, 15.7
1.605, 18.7
1.568, 17.8
1.437, 18.2

Lattice parameters (Å, degrees): 7.367 7.367 3.651 90.00 90.00 90.00
Element x y z (fractional)
Ho: 0.175 0.325 0.000
Ho: 0.325 0.825 0.000
Ho: 0.675 0.175 0.000
Ho: 0.825 0.675 0.000
In: 0.000 0.000 0.500
In: 0.500 0.500 0.500
Ni: 0.120 0.620 0.500
Ni: 0.380 0.120 0.500
Ni: 0.620 0.880 0.500
Ni: 0.880 0.380 0.500

=====

Record 4
Structure and simulated PXRD pattern of Ho2In5Ni (a structure optimized by DFT (GGA-PBE); CuKα).

Top 10 peaks for 15 to 90 degrees two-theta, in order of rising 2θ:
d/Å, intensity
3.034, 100.0
2.512, 9.8
2.364, 14.0
2.343, 74.5
1.991, 28.0
1.854, 23.9
1.517, 11.4
1.454, 21.3
1.353, 12.6
1.273, 12.6

Lattice parameters (Å, degrees): 11.001 11.001 11.001 24.59 24.59 24.59
Element x y z (fractional)
Ho: 0.081 0.081 0.081
Ho: 0.919 0.919 0.919
In: 0.204 0.204 0.204
In: 0.356 0.356 0.356
In: 0.500 0.500 0.500
In: 0.644 0.644 0.644
In: 0.796 0.796 0.796
Ni: 0.000 0.000 0.000

=====

Record 5
Structure and simulated PXRD pattern of Ho2NpIn9 (a structure optimized by DFT (GGA-PBE); CuKα).

Top 10 peaks for 15 to 90 degrees two-theta, in order of rising 2θ:
d/Å, intensity
4.629, 4.6
3.273, 4.0
2.673, 100.0
2.320, 16.7
2.312, 33.1
1.638, 22.4
1.635, 11.2
1.398, 13.1
1.395, 26.0
1.336, 11.3

Lattice parameters (Å, degrees): 4.624 4.624 13.919 90.00 90.00 90.00
Element x y z (fractional)
Ho: 0.000 0.000 0.165
Ho: 0.000 0.000 0.835
Np: 0.000 0.000 0.500
In: 0.000 0.500 0.000
In: 0.000 0.500 0.333
In: 0.000 0.500 0.667
In: 0.500 0.000 0.000
In: 0.500 0.000 0.333
In: 0.500 0.000 0.667
In: 0.500 0.500 0.167
In: 0.500 0.500 0.500
In: 0.500 0.500 0.833

=====

Record 6
Structure and simulated PXRD pattern of Ho3InO6 (a structure optimized by DFT (GGA-PBE); CuKα).

Top 10 peaks for 15 to 90 degrees two-theta, in order of rising 2θ:
d/Å, intensity
3.705, 38.4
3.317, 23.8
3.008, 100.0
2.927, 41.9
2.724, 68.4
2.120, 19.1
2.077, 29.1
1.870, 15.0
1.804, 30.9
1.727, 20.9

Lattice parameters (Å, degrees): 6.641 6.641 6.641 91.90 91.90 91.90
Element x y z (fractional)
Ho: 0.059 0.752 0.567
Ho: 0.248 0.433 0.941
Ho: 0.433 0.941 0.248
Ho: 0.567 0.059 0.752
Ho: 0.752 0.567 0.059
Ho: 0.941 0.248 0.433
In: 0.000 0.000 0.000
In: 0.500 0.500 0.500
O: 0.032 0.686 0.901
O: 0.099 0.968 0.314
O: 0.187 0.429 0.592
O: 0.314 0.099 0.968
O: 0.408 0.813 0.571
O: 0.429 0.592 0.187
O: 0.571 0.408 0.813
O: 0.592 0.187 0.429
O: 0.686 0.901 0.032
O: 0.813 0.571 0.408
O: 0.901 0.032 0.686
O: 0.968 0.314 0.099

=====

Record 7
Structure and simulated PXRD pattern of Ho5In4O (a structure optimized by DFT (GGA-PBE); CuKα).

Top 10 peaks for 15 to 90 degrees two-theta, in order of rising 2θ:
d/Å, intensity
2.974, 35.6
2.797, 45.9
2.735, 100.0
2.364, 38.0
2.217, 18.3
2.037, 24.3
1.737, 17.0
1.602, 19.9
1.490, 21.0
1.313, 12.6

Lattice parameters (Å, degrees): 7.215 7.215 7.215 98.64 98.64 134.39
Element x y z (fractional)
Ho: 0.000 0.000 0.000
Ho: 0.285 0.370 0.655
Ho: 0.370 0.715 0.084
Ho: 0.630 0.285 0.916
Ho: 0.715 0.630 0.345
In: 0.043 0.655 0.698
In: 0.345 0.043 0.388
In: 0.655 0.957 0.612
In: 0.957 0.345 0.302
O: 0.500 0.500 0.000

=====

> Which formula does entry 5 have?

Ho2NpIn9